# 1
# Dy2Y2ErLu2Ni2Te2
Simulated X-ray powder pattern, Cu Kα. Input: a crystal structure in OQMD, relaxed with GGA-PBE.
Intensities are scaled so that the largest is 100.

Structural model:
abc: 9.3048 9.3048 9.3048
angles: 156.32 67.15 118.20
Atoms (fractional coordinates):
1 Dy 0.1325 0.0000 0.1325
2 Dy 0.8675 0.0000 0.8675
3 Y 0.5168 0.2019 0.3149
4 Y 0.8870 0.2019 0.6851
5 Er 0.5784 0.5784 0.0000
6 Lu 0.2062 0.8531 0.3531
7 Lu 0.5000 0.8531 0.6469
8 Ni 0.2676 0.5039 0.7637
9 Ni 0.7402 0.5039 0.2363
10 Te 0.2471 0.2471 0.0000
11 Te 0.8434 0.3434 0.5000

Top 6 peaks for 15 to 90 degrees two-theta, sorted by position:
30.52°, I = 50; 33.03°, I = 62; 34.27°, I = 100; 34.72°, I = 47; 51.40°, I = 25; 59.18°, I = 26

***

# 2
# GdAl2Hg
Simulated X-ray powder pattern, Cu Kα. Input: a crystal structure in OQMD, relaxed with GGA-PBE.
Intensities are scaled so that the largest is 100.

Structural model:
abc: 4.8107 11.1579 6.3506
angles: 90.00 90.00 90.00
Atoms (fractional coordinates):
1 Gd 0.2500 0.1665 0.0000
2 Gd 0.2500 0.6665 0.5000
3 Gd 0.7500 0.3335 0.5000
4 Gd 0.7500 0.8335 0.0000
5 Al 0.2500 0.1484 0.4871
6 Al 0.2500 0.4264 0.7698
7 Al 0.2500 0.6484 0.9871
8 Al 0.2500 0.9264 0.2698
9 Al 0.7500 0.0736 0.2698
10 Al 0.7500 0.3516 0.9871
11 Al 0.7500 0.5736 0.7698
12 Al 0.7500 0.8516 0.4871
13 Hg 0.2500 0.4134 0.2313
14 Hg 0.2500 0.9134 0.7313
15 Hg 0.7500 0.0866 0.7313
16 Hg 0.7500 0.5866 0.2313

Top 6 peaks for 15 to 90 degrees two-theta, sorted by position:
16.06°, I = 67; 24.55°, I = 57; 33.57°, I = 32; 37.26°, I = 47; 37.39°, I = 34; 37.57°, I = 100

***

# 3
# ErCdH2Cl2O2
Simulated X-ray powder pattern, Cu Kα. Input: a crystal structure in OQMD, relaxed with GGA-PBE.
Intensities are scaled so that the largest is 100.

Structural model:
abc: 3.8730 3.8730 10.3558
angles: 90.00 90.00 120.00
Atoms (fractional coordinates):
1 Er 0.0000 0.0000 0.0000
2 Cd 0.3333 0.6667 0.4842
3 H 0.6667 0.3333 0.1429
4 H 0.6667 0.3333 0.6406
5 Cl 0.0000 0.0000 0.2475
6 Cl 0.3333 0.6667 0.8367
7 O 0.6667 0.3333 0.0469
8 O 0.6667 0.3333 0.5455

Top 6 peaks for 15 to 90 degrees two-theta, sorted by position:
17.12°, I = 63; 26.58°, I = 22; 27.96°, I = 100; 37.38°, I = 63; 46.92°, I = 32; 50.30°, I = 23

***

# 4
# SrSnSbPd2
Simulated X-ray powder pattern, Cu Kα. Input: a crystal structure in OQMD, relaxed with GGA-PBE.
Intensities are scaled so that the largest is 100.

Structural model:
abc: 4.6418 4.6418 10.9066
angles: 90.00 90.00 90.00
Atoms (fractional coordinates):
1 Sr 0.2500 0.2500 0.2409
2 Sr 0.7500 0.7500 0.7591
3 Sn 0.2500 0.7500 0.5000
4 Sn 0.7500 0.2500 0.5000
5 Sb 0.2500 0.2500 0.8731
6 Sb 0.7500 0.7500 0.1269
7 Pd 0.2500 0.2500 0.6312
8 Pd 0.2500 0.7500 0.0000
9 Pd 0.7500 0.2500 0.0000
10 Pd 0.7500 0.7500 0.3688

Top 6 peaks for 15 to 90 degrees two-theta, sorted by position:
31.25°, I = 54; 31.82°, I = 100; 38.80°, I = 81; 43.13°, I = 55; 50.64°, I = 28; 56.04°, I = 27

***

# 5
# SiB3W4
Simulated X-ray powder pattern, Cu Kα. Input: a crystal structure in OQMD, relaxed with GGA-PBE.
Intensities are scaled so that the largest is 100.

Structural model:
abc: 3.1827 3.1827 22.2816
angles: 90.00 90.00 120.00
Atoms (fractional coordinates):
1 Si 0.3333 0.6667 0.2500
2 Si 0.6667 0.3333 0.7500
3 B 0.0000 0.0000 0.0000
4 B 0.0000 0.0000 0.5000
5 B 0.3333 0.6667 0.6159
6 B 0.3333 0.6667 0.8841
7 B 0.6667 0.3333 0.1159
8 B 0.6667 0.3333 0.3841
9 W 0.0000 0.0000 0.1694
10 W 0.0000 0.0000 0.3306
11 W 0.0000 0.0000 0.6694
12 W 0.0000 0.0000 0.8306
13 W 0.3333 0.6667 0.0597
14 W 0.3333 0.6667 0.4403
15 W 0.6667 0.3333 0.5597
16 W 0.6667 0.3333 0.9403

Top 6 peaks for 15 to 90 degrees two-theta, sorted by position:
32.14°, I = 35; 33.49°, I = 63; 34.71°, I = 38; 38.40°, I = 52; 40.77°, I = 100; 57.95°, I = 43

***

# 6
# SrDyIn4Ni2
Simulated X-ray powder pattern, Cu Kα. Input: a crystal structure in OQMD, relaxed with GGA-PBE.
Intensities are scaled so that the largest is 100.

Structural model:
abc: 7.6610 4.3497 10.5666
angles: 90.00 90.00 90.00
Atoms (fractional coordinates):
1 Sr 0.0000 0.0000 0.0000
2 Sr 0.0000 0.5000 0.5000
3 Dy 0.5000 0.0000 0.1203
4 Dy 0.5000 0.5000 0.6203
5 In 0.2033 0.0000 0.7100
6 In 0.2033 0.5000 0.2100
7 In 0.3068 0.0000 0.4098
8 In 0.3068 0.5000 0.9098
9 In 0.6932 0.0000 0.4098
10 In 0.6932 0.5000 0.9098
11 In 0.7967 0.0000 0.7100
12 In 0.7967 0.5000 0.2100
13 Ni 0.0000 0.0000 0.2802
14 Ni 0.0000 0.5000 0.7802
15 Ni 0.5000 0.0000 0.8413
16 Ni 0.5000 0.5000 0.3413

Top 6 peaks for 15 to 90 degrees two-theta, sorted by position:
32.27°, I = 100; 32.72°, I = 50; 34.80°, I = 53; 35.96°, I = 30; 39.18°, I = 31; 41.52°, I = 58

***

# 7
# UP2S7
Simulated X-ray powder pattern, Cu Kα. Input: a crystal structure in OQMD, relaxed with GGA-PBE.
Intensities are scaled so that the largest is 100.

Structural model:
abc: 17.0643 15.9512 8.8602
angles: 81.51 67.60 30.90
Atoms (fractional coordinates):
1 U 0.0135 0.0135 0.2365
2 U 0.2365 0.2365 0.0135
3 U 0.7635 0.7635 0.9865
4 U 0.9865 0.9865 0.7635
5 P 0.0063 0.6313 0.1299
6 P 0.1299 0.7325 0.0063
7 P 0.2675 0.8701 0.3687
8 P 0.3687 0.9937 0.2675
9 P 0.6313 0.0063 0.7325
10 P 0.7325 0.1299 0.6313
11 P 0.8701 0.2675 0.9937
12 P 0.9937 0.3687 0.8701
13 S 0.0036 0.8837 0.4878
14 S 0.0253 0.5157 0.2921
15 S 0.1150 0.2361 0.3315
16 S 0.1163 0.9964 0.8751
17 S 0.1249 0.4878 0.8837
18 S 0.1511 0.5989 0.1511
19 S 0.1826 0.6685 0.7639
20 S 0.2361 0.1150 0.8174
21 S 0.2921 0.6669 0.0253
22 S 0.3315 0.8174 0.1150
23 S 0.3331 0.7079 0.4843
24 S 0.4011 0.8489 0.4011
25 S 0.4843 0.9747 0.3331
26 S 0.4878 0.1249 0.0036
27 S 0.5122 0.8751 0.9964
28 S 0.5157 0.0253 0.6669
29 S 0.5989 0.1511 0.5989
30 S 0.6669 0.2921 0.5157
31 S 0.6685 0.1826 0.8850
32 S 0.7079 0.3331 0.9747
33 S 0.7639 0.8850 0.1826
34 S 0.8174 0.3315 0.2361
35 S 0.8489 0.4011 0.8489
36 S 0.8751 0.5122 0.1163
37 S 0.8837 0.0036 0.1249
38 S 0.8850 0.7639 0.6685
39 S 0.9747 0.4843 0.7079
40 S 0.9964 0.1163 0.5122

Top 6 peaks for 15 to 90 degrees two-theta, sorted by position:
18.41°, I = 71; 25.57°, I = 61; 26.21°, I = 43; 31.20°, I = 38; 33.26°, I = 100; 34.45°, I = 36

***

# 8
# Rb2PtClF3
Simulated X-ray powder pattern, Cu Kα. Input: a crystal structure in OQMD, relaxed with GGA-PBE.
Intensities are scaled so that the largest is 100.

Structural model:
abc: 3.7523 9.6845 8.0569
angles: 90.00 90.00 90.00
Atoms (fractional coordinates):
1 Rb 0.0000 0.2185 0.0000
2 Rb 0.0000 0.2815 0.5000
3 Rb 0.0000 0.7185 0.5000
4 Rb 0.0000 0.7815 0.0000
5 Pt 0.5000 0.0000 0.2754
6 Pt 0.5000 0.5000 0.7754
7 Cl 0.5000 0.0000 0.5585
8 Cl 0.5000 0.5000 0.0585
9 F 0.5000 0.0000 0.0216
10 F 0.5000 0.2070 0.2658
11 F 0.5000 0.2930 0.7658
12 F 0.5000 0.5000 0.5216
13 F 0.5000 0.7070 0.7658
14 F 0.5000 0.7930 0.2658

Top 6 peaks for 15 to 90 degrees two-theta, sorted by position:
27.80°, I = 74; 28.83°, I = 55; 29.82°, I = 30; 30.13°, I = 100; 32.61°, I = 72; 37.13°, I = 31

***

# 9
# Cu5Ag4
Simulated X-ray powder pattern, Cu Kα. Input: a crystal structure in OQMD, relaxed with GGA-PBE.
Intensities are scaled so that the largest is 100.

Structural model:
abc: 4.7609 4.7609 11.2681
angles: 112.69 112.69 34.21
Atoms (fractional coordinates):
1 Cu 0.0000 0.0000 0.0000
2 Cu 0.2362 0.2362 0.9009
3 Cu 0.3242 0.3242 0.3161
4 Cu 0.6758 0.6758 0.6839
5 Cu 0.7638 0.7638 0.0991
6 Ag 0.1055 0.1055 0.4433
7 Ag 0.4549 0.4549 0.7903
8 Ag 0.5451 0.5451 0.2097
9 Ag 0.8945 0.8945 0.5567

Top 6 peaks for 15 to 90 degrees two-theta, sorted by position:
40.18°, I = 100; 40.61°, I = 32; 46.05°, I = 45; 48.47°, I = 17; 68.80°, I = 11; 69.35°, I = 11

***

# 10
# MgZr
Simulated X-ray powder pattern, Cu Kα. Input: a crystal structure in OQMD, relaxed with GGA-PBE.
Intensities are scaled so that the largest is 100.

Structural model:
abc: 6.3936 6.3936 5.1038
angles: 90.00 90.00 120.00
Atoms (fractional coordinates):
1 Mg 0.0000 0.0000 0.0000
2 Mg 0.1724 0.3447 0.5000
3 Mg 0.1724 0.8276 0.5000
4 Mg 0.6553 0.8276 0.5000
5 Zr 0.5068 0.0136 0.0000
6 Zr 0.5068 0.4932 0.0000
7 Zr 0.6667 0.3333 0.5000
8 Zr 0.9864 0.4932 0.0000

Top 6 peaks for 15 to 90 degrees two-theta, sorted by position:
16.01°, I = 38; 32.34°, I = 29; 35.17°, I = 25; 36.94°, I = 100; 64.26°, I = 19; 69.38°, I = 19

***

# 11
# Ni8Hg
Simulated X-ray powder pattern, Cu Kα. Input: a crystal structure in OQMD, relaxed with GGA-PBE.
Intensities are scaled so that the largest is 100.

Structural model:
abc: 4.2655 4.2655 24.3190
angles: 90.19 90.19 47.73
Atoms (fractional coordinates):
1 Ni 0.0494 0.0494 0.0485
2 Ni 0.1491 0.1491 0.1457
3 Ni 0.1504 0.1504 0.8215
4 Ni 0.2499 0.2499 0.2420
5 Ni 0.2510 0.2510 0.9189
6 Ni 0.3498 0.3498 0.0162
7 Ni 0.4491 0.4491 0.1135
8 Ni 0.4492 0.4492 0.7891
9 Ni 0.5508 0.5508 0.2109
10 Ni 0.5509 0.5509 0.8865
11 Ni 0.6502 0.6502 0.9838
12 Ni 0.7490 0.7490 0.0811
13 Ni 0.7501 0.7501 0.7580
14 Ni 0.8496 0.8496 0.1785
15 Ni 0.8509 0.8509 0.8543
16 Ni 0.9506 0.9506 0.9515
17 Hg 0.0496 0.0496 0.7046
18 Hg 0.9504 0.9504 0.2954

Top 6 peaks for 15 to 90 degrees two-theta, sorted by position:
29.25°, I = 31; 33.86°, I = 34; 41.24°, I = 31; 44.15°, I = 90; 45.03°, I = 100; 53.06°, I = 31

***

# 12
# ReTcO6
Simulated X-ray powder pattern, Cu Kα. Input: a crystal structure in OQMD, relaxed with GGA-PBE.
Intensities are scaled so that the largest is 100.

Structural model:
abc: 5.3239 5.3239 5.3239
angles: 60.01 60.01 60.01
Atoms (fractional coordinates):
1 Re 0.0000 0.0000 0.0000
2 Tc 0.5000 0.5000 0.5000
3 O 0.2476 0.7509 0.2506
4 O 0.2491 0.7494 0.7524
5 O 0.2506 0.2476 0.7509
6 O 0.7494 0.7524 0.2491
7 O 0.7509 0.2506 0.2476
8 O 0.7524 0.2491 0.7494

Top 6 peaks for 15 to 90 degrees two-theta, sorted by position:
23.63°, I = 100; 33.67°, I = 49; 48.35°, I = 20; 54.50°, I = 39; 60.21°, I = 20; 75.80°, I = 18